[1]
The following is a simulated X-ray diffraction stick pattern of Rb3Pu3HfS8. It was derived from a crystal structure in Alexandria, relaxed with PBE, using Cu Kα (weighted mean of Kα1 and Kα2).
Kinematic intensities with the Lorentz-polarization factor, no thermal factor.

Peak list (6 most intense, 10° ≤ 2θ ≤ 90°, by angle)
7.794 Å, 11.35 deg, intensity 88; 3.897 Å, 22.82 deg, intensity 31; 3.339 Å, 26.70 deg, intensity 54; 2.993 Å, 29.85 deg, intensity 100; 2.239 Å, 40.27 deg, intensity 38; 2.012 Å, 45.06 deg, intensity 33

Structural model:
Lattice parameters (Å, degrees): 8.0471 8.0471 23.3820 90.00 90.00 120.00
Space group R-3m (No. 166, hexagonal axes)
Symmetry-distinct sites (fractional):
Rb 0.0000 0.5000 0.0000 (multiplicity 9)
Pu 0.0000 0.5000 0.5000 (multiplicity 9)
Hf 0.0000 0.0000 0.5000 (multiplicity 3)
S 0.0000 0.0000 0.2298 (multiplicity 6)
S 0.0215 0.5108 0.2272 (multiplicity 18)

[2]
The following is a simulated X-ray diffraction stick pattern of Hf9Re4S. It was derived from a crystal structure in Alexandria, relaxed with PBE, using Cu Kα (weighted mean of Kα1 and Kα2).
Kinematic intensities with the Lorentz-polarization factor, no thermal factor.

Peak list (6 most intense, 10° ≤ 2θ ≤ 90°, by angle)
7.447 Å, 11.88 deg, intensity 33; 2.384 Å, 37.74 deg, intensity 78; 2.350 Å, 38.30 deg, intensity 100; 2.261 Å, 39.87 deg, intensity 49; 2.149 Å, 42.04 deg, intensity 30; 1.407 Å, 66.47 deg, intensity 51

Structural model:
Lattice parameters (Å, degrees): 8.5991 8.5991 8.5378 90.00 90.00 120.00
Space group P6_3/mmc (No. 194)
Symmetry-distinct sites (fractional):
Hf 0.0915 0.5458 0.2500 (multiplicity 6)
Hf 0.1942 0.3883 0.5545 (multiplicity 12)
Re 0.0000 0.0000 0.0000 (multiplicity 2)
Re 0.1106 0.2211 0.2500 (multiplicity 6)
S 0.3333 0.6667 0.7500 (multiplicity 2)

[3]
The following is a simulated X-ray diffraction stick pattern of CaAlH5. It was derived from a crystal structure in Alexandria, relaxed with PBE, using Cu Kα (weighted mean of Kα1 and Kα2).
Kinematic intensities with the Lorentz-polarization factor, no thermal factor.

Peak list (6 most intense, 10° ≤ 2θ ≤ 90°, by angle)
3.528 Å, 25.24 deg, intensity 78; 3.019 Å, 29.59 deg, intensity 100; 2.561 Å, 35.04 deg, intensity 30; 2.361 Å, 38.12 deg, intensity 45; 2.233 Å, 40.40 deg, intensity 39; 2.072 Å, 43.68 deg, intensity 34

Structural model:
Lattice parameters (Å, degrees): 7.771 5.121 7.494 90.00 114.76 90.00
Space group C2/c (No. 15)
Symmetry-distinct sites (fractional):
Ca 0.000 0.009 0.250 (multiplicity 4)
Al 0.000 0.500 0.000 (multiplicity 4)
H 0.000 0.474 0.750 (multiplicity 4)
H 0.111 0.201 0.543 (multiplicity 8)
H 0.204 0.338 0.119 (multiplicity 8)

[4]
The following is a simulated X-ray diffraction stick pattern of Ce3BeSi6Rh2. It was derived from a crystal structure in Alexandria, relaxed with PBE, using Cu Kα (weighted mean of Kα1 and Kα2).
Kinematic intensities with the Lorentz-polarization factor, no thermal factor.

Peak list (6 most intense, 10° ≤ 2θ ≤ 90°, by angle)
4.088 Å, 21.74 deg, intensity 38; 3.229 Å, 27.63 deg, intensity 94; 2.640 Å, 33.96 deg, intensity 84; 2.285 Å, 39.44 deg, intensity 80; 2.042 Å, 44.37 deg, intensity 100; 1.616 Å, 57.01 deg, intensity 37

Structural model:
Lattice parameters (Å, degrees): 5.2801 5.2801 9.1192 90.00 90.00 120.00
Space group P-3m1 (No. 164)
Symmetry-distinct sites (fractional):
Ce 0.0000 0.0000 0.0000 (multiplicity 1)
Ce 0.3333 0.6667 0.5765 (multiplicity 2)
Be 0.0000 0.0000 0.5000 (multiplicity 1)
Si 0.1661 0.3323 0.2825 (multiplicity 6)
Rh 0.3333 0.6667 0.0778 (multiplicity 2)

[5]
The following is a simulated X-ray diffraction stick pattern of LaOsO. It was derived from a crystal structure in Alexandria, relaxed with PBE, using Cu Kα (weighted mean of Kα1 and Kα2).
Kinematic intensities with the Lorentz-polarization factor, no thermal factor.

Peak list (6 most intense, 10° ≤ 2θ ≤ 90°, by angle)
3.387 Å, 26.31 deg, intensity 100; 2.950 Å, 30.30 deg, intensity 51; 2.573 Å, 34.86 deg, intensity 76; 2.116 Å, 42.73 deg, intensity 20; 2.022 Å, 44.81 deg, intensity 65; 1.668 Å, 55.05 deg, intensity 63

Structural model:
Lattice parameters (Å, degrees): 4.0449 4.0449 26.5517 90.00 90.00 120.00
Space group R-3m (No. 166, hexagonal axes)
Symmetry-distinct sites (fractional):
La 0.0000 0.0000 0.2251 (multiplicity 6)
Os 0.0000 0.0000 0.3427 (multiplicity 6)
O 0.0000 0.0000 0.1314 (multiplicity 6)

[6]
The following is a simulated X-ray diffraction stick pattern of NpAl3Au10. It was derived from a crystal structure in Alexandria, relaxed with PBE, using Cu Kα (weighted mean of Kα1 and Kα2).
Kinematic intensities with the Lorentz-polarization factor, no thermal factor.

Peak list (6 most intense, 10° ≤ 2θ ≤ 90°, by angle)
2.597 Å, 34.54 deg, intensity 83; 2.569 Å, 34.93 deg, intensity 100; 2.551 Å, 35.19 deg, intensity 90; 2.352 Å, 38.27 deg, intensity 60; 2.192 Å, 41.18 deg, intensity 75; 2.081 Å, 43.49 deg, intensity 57

Structural model:
Lattice parameters (Å, degrees): 8.037 8.707 9.802 66.57 68.40 66.86
Space group P-1 (No. 2)
Symmetry-distinct sites (fractional):
Np 0.243 0.213 0.316 (multiplicity 2)
Al 0.231 0.256 0.822 (multiplicity 2)
Al 0.270 0.837 0.687 (multiplicity 2)
Al 0.284 0.646 0.290 (multiplicity 2)
Au 0.079 0.163 0.681 (multiplicity 2)
Au 0.082 0.108 0.110 (multiplicity 2)
Au 0.118 0.572 0.831 (multiplicity 2)
Au 0.140 0.496 0.565 (multiplicity 2)
Au 0.144 0.617 0.102 (multiplicity 2)
Au 0.156 0.853 0.468 (multiplicity 2)
Au 0.317 0.897 0.912 (multiplicity 2)
Au 0.438 0.893 0.157 (multiplicity 2)
Au 0.462 0.151 0.559 (multiplicity 2)
Au 0.479 0.567 0.845 (multiplicity 2)

[7]
The following is a simulated X-ray diffraction stick pattern of NaTl5I5. It was derived from a crystal structure in Alexandria, relaxed with PBE, using Cu Kα (weighted mean of Kα1 and Kα2).
Kinematic intensities with the Lorentz-polarization factor, no thermal factor.

Peak list (6 most intense, 10° ≤ 2θ ≤ 90°, by angle)
3.431 Å, 25.97 deg, intensity 100; 3.377 Å, 26.39 deg, intensity 46; 2.426 Å, 37.06 deg, intensity 38; 2.407 Å, 37.36 deg, intensity 37; 1.965 Å, 46.19 deg, intensity 20; 1.534 Å, 60.33 deg, intensity 20

Structural model:
Lattice parameters (Å, degrees): 15.337 6.862 9.593 90.00 109.12 90.00
Space group C2/m (No. 12)
Symmetry-distinct sites (fractional):
Na 0.000 0.000 0.000 (multiplicity 2)
Tl 0.000 0.000 0.500 (multiplicity 2)
Tl 0.152 0.500 0.350 (multiplicity 4)
Tl 0.153 0.500 0.806 (multiplicity 4)
I 0.000 0.500 0.000 (multiplicity 2)
I 0.158 0.000 0.317 (multiplicity 4)
I 0.168 0.000 0.847 (multiplicity 4)

[8]
The following is a simulated X-ray diffraction stick pattern of CdPbF6. It was derived from a crystal structure in Alexandria, relaxed with PBE, using Cu Kα (weighted mean of Kα1 and Kα2).
Kinematic intensities with the Lorentz-polarization factor, no thermal factor.

Peak list (6 most intense, 10° ≤ 2θ ≤ 90°, by angle)
4.285 Å, 20.73 deg, intensity 100; 3.477 Å, 25.62 deg, intensity 85; 2.776 Å, 32.25 deg, intensity 29; 2.720 Å, 32.93 deg, intensity 32; 2.142 Å, 42.18 deg, intensity 23; 1.871 Å, 48.68 deg, intensity 44

Structural model:
Lattice parameters (Å, degrees): 5.4396 5.4396 10.3067 90.00 90.00 120.00
Space group P-31c (No. 163)
Symmetry-distinct sites (fractional):
Cd 0.0000 0.0000 0.0000 (multiplicity 2)
Pb 0.3333 0.6667 0.2500 (multiplicity 2)
F 0.0262 0.3468 0.1296 (multiplicity 12)